Simulated powder diffraction line list of KMg2V3Cu2O12 for CuKα, from a cell relaxed with PBE+U.

Atomic structure:
```
data_KMg2V3Cu2O12
_chemical_formula_sum 'K4 Mg8 V12 Cu8 O48'
_space_group_name_H-M_alt 'C 1 2/c 1'
_space_group_IT_number 15
_space_group_name_Hall '-C 2yc'
_cell_length_a 12.245
_cell_length_b 12.724
_cell_length_c 7.138
_cell_angle_alpha 90.00
_cell_angle_beta 112.57
_cell_angle_gamma 90.00
loop_
_atom_site_label
_atom_site_type_symbol
_atom_site_fract_x
_atom_site_fract_y
_atom_site_fract_z
K1 K 0.000 0.006 0.250
Mg1 Mg 0.213 0.160 0.621
V1 V 0.000 0.283 0.250
V2 V 0.234 0.122 0.117
Cu1 Cu 0.000 0.269 0.750
Cu2 Cu 0.000 0.495 0.250
O1 O 0.039 0.207 0.466
O2 O 0.109 0.380 0.268
O3 O 0.112 0.390 0.830
O4 O 0.154 0.176 0.873
O5 O 0.178 0.002 0.610
O6 O 0.217 0.188 0.319
```

Peak list (10 most intense, 2θ = 10–80°, sorted by position)
Position (°2θ), d (Å), I/Imax, hkl
24.63, 3.615, 27, 3 1 0
25.53, 3.489, 46, 2 0 -2
26.05, 3.421, 79, 1 1 -2
27.05, 3.296, 52, 0 0 2
31.65, 2.827, 47, 4 0 0
32.29, 2.772, 100, 2 4 0
32.89, 2.723, 44, 4 0 -2
42.84, 2.111, 24, 3 5 0
51.46, 1.776, 28, 2 0 -4
54.19, 1.693, 25, 6 4 -2